Structure and simulated powder X-ray diffraction pattern of Pr2GdMg3Al2Cd (a structure optimized by DFT (PBE); Cu Kα (λ = 1.5418 Å)).

Crystal structure
Cell: 4.661 7.553 7.553 Å, 119.40 90.00 90.00°
Fractional coordinates of all 9 atoms:
Pr1 0.000 0.213 0.787
Pr2 0.000 0.787 0.213
Gd1 0.000 0.360 0.360
Mg1 0.500 0.030 0.030
Mg2 0.500 0.540 0.785
Mg3 0.500 0.785 0.540
Al1 0.500 0.124 0.451
Al2 0.500 0.451 0.124
Cd1 0.000 0.779 0.779

Largest 10 diffraction maxima, sorted by position, 10 to 80 degrees two-theta:
- 19.04°, I = 74
- 27.10°, I = 53
- 27.35°, I = 26
- 30.30°, I = 24
- 30.47°, I = 54
- 33.33°, I = 100
- 33.54°, I = 51
- 38.64°, I = 33
- 47.82°, I = 26
- 54.08°, I = 22